(1)
Structure and calculated X-ray powder pattern of PrSm2Ir9 (a cell relaxed with GGA-PBE; Cu Ka).

The 6 most intense peaks (2θ = 10–90°), in order of falling intensity:
| 2θ/deg | d_spacing | I (rel.) | (hkl) |
| --- | --- | --- | --- |
| 39.27 | 2.294 | 100 | 1 1 6 |
| 42.44 | 2.130 | 43 | 2 0 5 |
| 38.85 | 2.318 | 29 | 0 2 1 |
| 40.95 | 2.204 | 27 | 0 0 12 |
| 70.04 | 1.343 | 27 | 2 2 0 |
| 19.37 | 4.583 | 26 | 1 0 1 |

Structure:
abc: 5.3736 5.3736 26.4482
angles: 90.00 90.00 120.00
Space group R-3m (No. 166, hexagonal axes)
Inequivalent atoms, fractional coordinates:
Pr: 0.0000 0.0000 0.0000 [3 per cell]
Sm: 0.0000 0.0000 0.1396 [6 per cell]
Ir: 0.0000 0.0000 0.3324 [6 per cell]
Ir: 0.0000 0.0000 0.5000 [3 per cell]
Ir: 0.0023 0.5012 0.0815 [18 per cell]



(2)
Structure and calculated X-ray powder pattern of Mg7SnHg2 (a cell relaxed with GGA-PBE; Cu Ka).

The 6 most intense peaks (2θ = 10–90°), in order of falling intensity:
| 2θ/deg | d_spacing | I (rel.) | (hkl) |
| --- | --- | --- | --- |
| 22.64 | 3.928 | 100 | 1 0 1 |
| 37.14 | 2.421 | 56 | 1 0 4 |
| 37.44 | 2.402 | 56 | 1 1 0 |
| 26.13 | 3.410 | 46 | 0 1 2 |
| 44.07 | 2.055 | 37 | 1 1 3 |
| 22.40 | 3.969 | 35 | 0 0 3 |

Structure:
abc: 4.8040 4.8040 11.9069
angles: 90.00 90.00 120.00
Space group P3m1 (No. 156)
Inequivalent atoms, fractional coordinates:
Mg: 0.0000 0.0000 0.0000 [1 per cell]
Mg: 0.0000 0.0000 0.2529 [1 per cell]
Mg: 0.0000 0.0000 0.5307 [1 per cell]
Mg: 0.3333 0.6667 0.1430 [1 per cell]
Mg: 0.3333 0.6667 0.6912 [1 per cell]
Mg: 0.6667 0.3333 0.3538 [1 per cell]
Mg: 0.6667 0.3333 0.8529 [1 per cell]
Sn: 0.3333 0.6667 0.4287 [1 per cell]
Hg: 0.0000 0.0000 0.7657 [1 per cell]
Hg: 0.6667 0.3333 0.1026 [1 per cell]



(3)
Structure and calculated X-ray powder pattern of Sr2Ga3Ag9 (a cell relaxed with GGA-PBE; Cu Ka).

The 6 most intense peaks (2θ = 10–90°), in order of falling intensity:
| 2θ/deg | d_spacing | I (rel.) | (hkl) |
| --- | --- | --- | --- |
| 35.11 | 2.556 | 100 | 0 2 3 |
| 37.95 | 2.371 | 74 | 3 3 -1 |
| 34.84 | 2.575 | 40 | 3 1 -4 |
| 37.43 | 2.402 | 40 | 6 0 -2 |
| 36.65 | 2.452 | 24 | 0 0 4 |
| 42.41 | 2.131 | 18 | 3 3 1 |

Structure:
abc: 14.415 8.178 10.956
angles: 90.00 116.47 90.00
Space group C2/c (No. 15)
Inequivalent atoms, fractional coordinates:
Sr: 0.170 0.087 0.245 [8 per cell]
Ga: 0.087 0.231 0.498 [8 per cell]
Ga: 0.250 0.250 0.000 [4 per cell]
Ag: 0.000 0.372 0.250 [4 per cell]
Ag: 0.058 0.086 0.917 [8 per cell]
Ag: 0.093 0.418 0.029 [8 per cell]
Ag: 0.101 0.326 0.741 [8 per cell]
Ag: 0.226 0.417 0.434 [8 per cell]



(4)
Structure and calculated X-ray powder pattern of Tb3CeSm7 (a cell relaxed with GGA-PBE; Cu Ka).

The 6 most intense peaks (2θ = 10–90°), in order of falling intensity:
| 2θ/deg | d_spacing | I (rel.) | (hkl) |
| --- | --- | --- | --- |
| 32.39 | 2.764 | 100 | 1 2 3 |
| 32.50 | 2.755 | 91 | 1 3 2 |
| 30.56 | 2.926 | 73 | 2 0 0 |
| 55.51 | 1.655 | 42 | 3 2 3 |
| 31.90 | 2.806 | 30 | 0 4 0 |
| 31.55 | 2.836 | 30 | 0 0 4 |

Structure:
abc: 5.851 11.223 11.344
angles: 90.00 90.00 90.00
Space group Immm (No. 71)
Inequivalent atoms, fractional coordinates:
Tb: 0.000 0.000 0.000 [2 per cell]
Tb: 0.000 0.500 0.297 [4 per cell]
Ce: 0.000 0.000 0.500 [2 per cell]
Sm: 0.000 0.200 0.204 [8 per cell]
Sm: 0.000 0.286 0.500 [4 per cell]
Sm: 0.000 0.500 0.000 [2 per cell]



(5)
Structure and calculated X-ray powder pattern of AlZn12Ga16 (a cell relaxed with GGA-PBE; Cu Ka).

The 6 most intense peaks (2θ = 10–90°), in order of falling intensity:
| 2θ/deg | d_spacing | I (rel.) | (hkl) |
| --- | --- | --- | --- |
| 38.17 | 2.358 | 100 | 1 3 -3 |
| 42.42 | 2.131 | 27 | 2 6 -1 |
| 35.91 | 2.501 | 19 | 4 0 -2 |
| 46.24 | 1.963 | 12 | 4 4 -1 |
| 46.33 | 1.960 | 12 | 1 7 -1 |
| 69.00 | 1.361 | 11 | 2 8 2 |

Structure:
abc: 9.998 14.135 8.655
angles: 90.00 125.10 90.00
Space group Cm (No. 8)
Inequivalent atoms, fractional coordinates:
Al: 0.000 0.000 0.000 [2 per cell]
Zn: 0.083 0.311 0.461 [4 per cell]
Zn: 0.271 0.500 0.080 [2 per cell]
Zn: 0.297 0.096 0.271 [4 per cell]
Zn: 0.373 0.406 0.659 [4 per cell]
Zn: 0.391 0.193 0.082 [4 per cell]
Zn: 0.465 0.500 0.466 [2 per cell]
Zn: 0.487 0.095 0.891 [4 per cell]
Ga: 0.029 0.138 0.273 [4 per cell]
Ga: 0.069 0.206 0.967 [4 per cell]
Ga: 0.077 0.500 0.263 [2 per cell]
Ga: 0.082 0.500 0.592 [2 per cell]
Ga: 0.151 0.155 0.686 [4 per cell]
Ga: 0.237 0.350 0.857 [4 per cell]
Ga: 0.246 0.338 0.273 [4 per cell]
Ga: 0.250 0.000 0.941 [2 per cell]
Ga: 0.278 0.000 0.553 [2 per cell]
Ga: 0.377 0.208 0.579 [4 per cell]



(6)
Structure and calculated X-ray powder pattern of Ba3TlAg3 (a cell relaxed with GGA-PBE; Cu Ka).

The 6 most intense peaks (2θ = 10–90°), in order of falling intensity:
| 2θ/deg | d_spacing | I (rel.) | (hkl) |
| --- | --- | --- | --- |
| 27.71 | 3.219 | 100 | 1 1 3 |
| 33.55 | 2.671 | 70 | 3 1 2 |
| 31.65 | 2.827 | 59 | 3 1 -4 |
| 37.47 | 2.400 | 45 | 0 2 0 |
| 28.18 | 3.166 | 36 | 1 1 -4 |
| 52.81 | 1.733 | 28 | 7 1 -3 |

Structure:
abc: 13.010 4.801 16.843
angles: 90.00 109.74 90.00
Space group C2/m (No. 12)
Inequivalent atoms, fractional coordinates:
Ba: 0.029 0.000 0.384 [4 per cell]
Ba: 0.105 0.000 0.924 [4 per cell]
Ba: 0.241 0.000 0.233 [4 per cell]
Tl: 0.244 0.500 0.406 [4 per cell]
Ag: 0.034 0.500 0.229 [4 per cell]
Ag: 0.100 0.500 0.077 [4 per cell]
Ag: 0.119 0.500 0.540 [4 per cell]



(7)
Structure and calculated X-ray powder pattern of FeI3 (a cell relaxed with GGA-PBE; Cu Ka).

The 6 most intense peaks (2θ = 10–90°), in order of falling intensity:
| 2θ/deg | d_spacing | I (rel.) | (hkl) |
| --- | --- | --- | --- |
| 24.76 | 3.596 | 100 | 0 3 1 |
| 40.46 | 2.229 | 59 | 1 4 1 |
| 13.76 | 6.438 | 59 | 0 1 1 |
| 35.20 | 2.549 | 57 | 1 1 2 |
| 31.16 | 2.870 | 54 | 1 2 1 |
| 23.52 | 3.782 | 51 | 0 0 2 |

Structure:
abc: 3.597 12.260 7.564
angles: 90.00 90.00 90.00
Space group Imm2 (No. 44)
Inequivalent atoms, fractional coordinates:
Fe: 0.000 0.000 0.000 [2 per cell]
I: 0.000 0.349 0.359 [4 per cell]
I: 0.000 0.500 0.783 [2 per cell]



(8)
Structure and calculated X-ray powder pattern of LiErHfSe4 (a cell relaxed with GGA-PBE; Cu Ka).

The 6 most intense peaks (2θ = 10–90°), in order of falling intensity:
| 2θ/deg | d_spacing | I (rel.) | (hkl) |
| --- | --- | --- | --- |
| 31.60 | 2.831 | 100 | 2 2 0 |
| 13.34 | 6.639 | 79 | 0 1 1 |
| 45.16 | 2.008 | 74 | 2 2 4 |
| 31.42 | 2.847 | 50 | 0 0 4 |
| 13.69 | 6.466 | 46 | 1 0 1 |
| 25.82 | 3.451 | 31 | 1 2 1 |

Structure:
abc: 7.855 8.171 11.389
angles: 90.00 90.00 90.00
Space group Imma (No. 74)
Inequivalent atoms, fractional coordinates:
Li: 0.000 0.250 0.124 [4 per cell]
Er: 0.000 0.000 0.500 [4 per cell]
Hf: 0.250 0.250 0.750 [4 per cell]
Se: 0.000 0.021 0.750 [8 per cell]
Se: 0.248 0.250 0.515 [8 per cell]



(9)
Structure and calculated X-ray powder pattern of Ba2ScBe (a cell relaxed with GGA-PBE; Cu Ka).

The 6 most intense peaks (2θ = 10–90°), in order of falling intensity:
| 2θ/deg | d_spacing | I (rel.) | (hkl) |
| --- | --- | --- | --- |
| 25.73 | 3.463 | 100 | 1 0 1 |
| 30.18 | 2.961 | 44 | 1 0 2 |
| 34.31 | 2.614 | 40 | 1 1 0 |
| 44.21 | 2.049 | 30 | 1 1 3 |
| 27.03 | 3.299 | 29 | 0 0 3 |
| 44.04 | 2.056 | 24 | 1 0 4 |

Structure:
abc: 3.697 3.697 9.896
angles: 90.00 90.00 90.00
Space group P4mm (No. 99)
Inequivalent atoms, fractional coordinates:
Ba: 0.000 0.000 0.000 [1 per cell]
Ba: 0.500 0.500 0.384 [1 per cell]
Sc: 0.500 0.500 0.708 [1 per cell]
Be: 0.000 0.000 0.606 [1 per cell]



(10)
Structure and calculated X-ray powder pattern of Li2Co5As3H2 (a cell relaxed with GGA-PBE; Cu Ka).

The 6 most intense peaks (2θ = 10–90°), in order of falling intensity:
| 2θ/deg | d_spacing | I (rel.) | (hkl) |
| --- | --- | --- | --- |
| 44.30 | 2.045 | 100 | 1 1 6 |
| 49.51 | 1.841 | 38 | 2 0 0 |
| 39.08 | 2.305 | 26 | 1 1 4 |
| 89.17 | 1.098 | 25 | 3 1 6 |
| 27.74 | 3.216 | 22 | 1 0 3 |
| 77.66 | 1.229 | 15 | 2 0 12 |

Structure:
abc: 3.682 3.682 19.820
angles: 90.00 90.00 90.00
Space group I4/mmm (No. 139)
Inequivalent atoms, fractional coordinates:
Li: 0.000 0.000 0.197 [4 per cell]
Co: 0.000 0.000 0.000 [2 per cell]
Co: 0.000 0.500 0.091 [8 per cell]
As: 0.000 0.000 0.332 [4 per cell]
As: 0.000 0.000 0.500 [2 per cell]
H: 0.000 0.000 0.088 [4 per cell]



(11)
Structure and calculated X-ray powder pattern of LaFeNiH6 (a cell relaxed with GGA-PBE; Cu Ka).

The 6 most intense peaks (2θ = 10–90°), in order of falling intensity:
| 2θ/deg | d_spacing | I (rel.) | (hkl) |
| --- | --- | --- | --- |
| 30.62 | 2.920 | 100 | 1 0 1 |
| 40.39 | 2.233 | 39 | 1 1 0 |
| 58.55 | 1.577 | 26 | 1 1 2 |
| 51.52 | 1.774 | 22 | 2 0 1 |
| 67.43 | 1.389 | 20 | 2 1 1 |
| 23.00 | 3.868 | 13 | 1 0 0 |

Structure:
abc: 4.4659 4.4659 4.4528
angles: 90.00 90.00 120.00
Space group P-6m2 (No. 187)
Inequivalent atoms, fractional coordinates:
La: 0.0000 0.0000 0.0000 [1 per cell]
Fe: 0.6667 0.3333 0.5000 [1 per cell]
Ni: 0.3333 0.6667 0.5000 [1 per cell]
H: 0.5029 0.0057 0.2605 [6 per cell]



(12)
Structure and calculated X-ray powder pattern of Ac3Zn9Rh2 (a cell relaxed with GGA-PBE; Cu Ka).

The 6 most intense peaks (2θ = 10–90°), in order of falling intensity:
| 2θ/deg | d_spacing | I (rel.) | (hkl) |
| --- | --- | --- | --- |
| 34.02 | 2.635 | 100 | 1 2 3 |
| 40.09 | 2.249 | 71 | 2 0 0 |
| 34.27 | 2.616 | 55 | 0 3 3 |
| 33.78 | 2.654 | 49 | 1 3 0 |
| 21.71 | 4.093 | 46 | 1 1 0 |
| 35.31 | 2.542 | 39 | 1 1 4 |

Structure:
abc: 4.500 9.858 12.973
angles: 90.00 90.00 90.00
Space group Immm (No. 71)
Inequivalent atoms, fractional coordinates:
Ac: 0.000 0.000 0.000 [2 per cell]
Ac: 0.000 0.000 0.302 [4 per cell]
Zn: 0.000 0.284 0.117 [8 per cell]
Zn: 0.000 0.349 0.345 [8 per cell]
Zn: 0.000 0.500 0.000 [2 per cell]
Rh: 0.000 0.172 0.500 [4 per cell]